[1]
SrZnCuP2O8: theoretical XRD peak list (copper Kα), based on a crystal structure in the Materials Project, relaxed with GGA-PBE.

Largest 10 diffraction maxima, by intensity, 10 to 90 degrees two-theta:
2θ (°)  I (rel.)
28.4  100.0
30.8  57.6
31.5  49.8
32.9  48.2
32.4  36.6
10.6  35.4
33.2  29.6
28.9  22.7
47.0  20.6
51.3  17.1

Structural model:
Cell lengths 5.608, 6.887, 9.270 Å; angles 108.97, 102.81, 99.57 degrees
Element x y z (fractional)
Sr: 0.246 0.198 0.443
Sr: 0.754 0.802 0.557
Zn: 0.491 0.385 0.140
Zn: 0.509 0.615 0.860
Cu: 0.137 0.846 0.046
Cu: 0.863 0.154 0.954
P: 0.102 0.574 0.261
P: 0.340 0.024 0.800
P: 0.660 0.976 0.200
P: 0.898 0.426 0.739
O: 0.122 0.926 0.856
O: 0.127 0.407 0.103
O: 0.155 0.796 0.249
O: 0.163 0.479 0.715
O: 0.234 0.994 0.626
O: 0.310 0.562 0.396
O: 0.442 0.097 0.183
O: 0.465 0.261 0.911
O: 0.535 0.739 0.089
O: 0.558 0.903 0.817
O: 0.690 0.438 0.604
O: 0.766 0.006 0.374
O: 0.837 0.521 0.285
O: 0.845 0.204 0.751
O: 0.873 0.593 0.897
O: 0.878 0.074 0.144

[2]
CuTeP2O8: theoretical XRD peak list (copper Kα), based on a crystal structure in the Materials Project, relaxed with GGA-PBE.

Largest 10 diffraction maxima, by intensity, 10 to 90 degrees two-theta:
2θ (°)  I (rel.)
27.4  100.0
18.0  93.6
25.1  70.7
23.7  68.9
34.1  50.4
19.3  37.4
37.1  37.2
56.5  36.7
46.2  31.8
21.0  29.4

Structural model:
Cell lengths 4.945, 6.519, 9.919 Å; angles 90.00, 95.86, 90.00 degrees
Element x y z (fractional)
Cu: 0.086 0.250 0.218
Cu: 0.914 0.750 0.782
Te: 0.455 0.250 0.714
Te: 0.545 0.750 0.286
P: 0.080 0.750 0.089
P: 0.395 0.750 0.599
P: 0.605 0.250 0.401
P: 0.920 0.250 0.911
O: 0.151 0.750 0.943
O: 0.225 0.250 0.901
O: 0.237 0.568 0.174
O: 0.237 0.932 0.174
O: 0.273 0.561 0.666
O: 0.273 0.939 0.666
O: 0.292 0.250 0.387
O: 0.298 0.750 0.443
O: 0.702 0.250 0.557
O: 0.708 0.750 0.613
O: 0.727 0.061 0.334
O: 0.727 0.439 0.334
O: 0.763 0.068 0.826
O: 0.763 0.432 0.826
O: 0.775 0.750 0.099
O: 0.849 0.250 0.057

[3]
ThCuPO: theoretical XRD peak list (copper Kα), based on a crystal structure in the Materials Project, relaxed with GGA-PBE.

Largest 10 diffraction maxima, by intensity, 10 to 90 degrees two-theta:
2θ (°)  I (rel.)
31.4  100.0
25.2  99.6
32.4  56.2
46.4  55.6
39.2  54.1
57.2  37.4
34.2  37.2
49.8  29.4
53.5  27.7
57.8  23.7

Structural model:
Cell lengths 3.911, 3.911, 8.290 Å; angles 90.00, 90.00, 90.00 degrees
Element x y z (fractional)
Th: 0.250 0.250 0.167
Th: 0.750 0.750 0.833
Cu: 0.250 0.750 0.500
Cu: 0.750 0.250 0.500
P: 0.250 0.250 0.670
P: 0.750 0.750 0.330
O: 0.250 0.750 0.000
O: 0.750 0.250 0.000